Calculated X-ray diffraction stick pattern of Sr2CaV2Si4O14 for CuKα, from a crystal structure in Alexandria, relaxed with PBE+U.
No peak broadening, texture or thermal motion is included.

Main lines, by intensity (15° ≤ 2θ ≤ 90°):
29.23 deg, I 100
24.49 deg, I 99
27.20 deg, I 84
34.15 deg, I 64
32.45 deg, I 55
48.37 deg, I 54

Crystal structure
a b c (Å): 7.582 7.770 7.770
angles (deg): 41.60 90.00 90.00
Sites, in units of the cell vectors:
Sr 0.000 0.000 0.000
Sr 0.500 0.360 0.360
Ca 0.500 0.647 0.647
V 0.000 0.294 0.294
V 0.500 0.066 0.066
Si 0.200 0.574 0.574
Si 0.261 0.800 0.800
Si 0.739 0.800 0.800
Si 0.800 0.574 0.574
O 0.000 0.170 0.170
O 0.000 0.532 0.532
O 0.196 0.094 0.595
O 0.196 0.595 0.094
O 0.213 0.688 0.688
O 0.308 0.302 0.778
O 0.308 0.778 0.302
O 0.500 0.190 0.190
O 0.500 0.805 0.805
O 0.692 0.302 0.778
O 0.692 0.778 0.302
O 0.787 0.688 0.688
O 0.804 0.094 0.595
O 0.804 0.595 0.094